[1]
Y3Sn: calculated powder diffractogram (a wavelength of 1.5418 Å), based on the PBE geometry in the Materials Project.
Peak positions follow from Bragg's law for the DFT cell and can differ from measured ones.

Structure:
```
Y3Sn
1.0
7.6921 0.0000 0.0000
0.0000 7.6921 0.0000
0.0000 0.0000 7.6921
Y Sn
12 4
Direct
0.0000 0.0000 0.0000
0.0000 0.5000 0.5000
0.2500 0.2500 0.2500
0.2500 0.2500 0.7500
0.2500 0.7500 0.2500
0.2500 0.7500 0.7500
0.5000 0.0000 0.5000
0.5000 0.5000 0.0000
0.7500 0.2500 0.2500
0.7500 0.2500 0.7500
0.7500 0.7500 0.2500
0.7500 0.7500 0.7500
0.0000 0.0000 0.5000
0.0000 0.5000 0.0000
0.5000 0.0000 0.0000
0.5000 0.5000 0.5000
```

Top 9 peaks for 10° ≤ 2θ ≤ 90°, in order of rising 2θ:
2θ (°)  d (Å)  intensity  index
19.99  4.441  1  1 1 1
23.13  3.846  1  2 0 0
32.93  2.720  100  2 2 0
38.83  2.319  1  3 1 1
47.27  1.923  18  4 0 0
58.81  1.570  37  4 2 2
69.07  1.360  11  4 4 0
78.67  1.216  16  6 2 0
87.95  1.110  4  4 4 4


[2]
PrAu: calculated powder diffractogram (a wavelength of 1.5418 Å), based on the PBE geometry in the Materials Project.
Peak positions follow from Bragg's law for the DFT cell and can differ from measured ones.

Structure:
```
PrAu
1.0
3.7499 0.0000 0.0000
0.0000 3.7499 0.0000
0.0000 0.0000 3.7499
Pr Au
1 1
Direct
0.0000 0.0000 0.0000
0.5000 0.5000 0.5000
```

Top 10 peaks for 10° ≤ 2θ ≤ 90°, in order of rising 2θ:
2θ (°)  d (Å)  intensity  index
23.73  3.750  3  1 0 0
33.80  2.652  100  1 1 0
41.72  2.165  1  1 1 1
48.56  1.875  18  2 0 0
54.74  1.677  2  2 1 0
60.47  1.531  38  2 1 1
71.11  1.326  12  2 2 0
76.16  1.250  1  3 0 0
81.10  1.186  17  3 1 0
85.98  1.131  1  3 1 1


[3]
PrNi2Bi2: calculated powder diffractogram (a wavelength of 1.5418 Å), based on the PBE geometry in the Materials Project.
Peak positions follow from Bragg's law for the DFT cell and can differ from measured ones.

Structure:
```
PrNi2Bi2
1.0
4.6520 0.0000 0.0000
0.0000 4.6520 0.0000
0.0000 0.0000 10.3494
Pr Ni Bi
2 4 4
Direct
0.2500 0.2500 0.2307
0.7500 0.7500 0.7693
0.2500 0.2500 0.6261
0.2500 0.7500 0.0000
0.7500 0.2500 0.0000
0.7500 0.7500 0.3739
0.2500 0.2500 0.8750
0.2500 0.7500 0.5000
0.7500 0.2500 0.5000
0.7500 0.7500 0.1250
```

Top 12 peaks for 10° ≤ 2θ ≤ 90°, in order of rising 2θ:
2θ (°)  d (Å)  intensity  index
25.80  3.453  20  0 0 3
28.47  3.135  33  1 1 1
32.27  2.774  100  1 1 2
38.71  2.326  53  2 0 0
44.55  2.034  27  1 1 4
47.11  1.929  14  2 0 3
48.11  1.891  12  1 0 5
51.28  1.782  21  2 1 3
55.90  1.645  18  2 2 0
63.39  1.467  10  2 1 5
66.03  1.415  21  3 1 2
74.15  1.279  12  3 1 4


[4]
PdC: calculated powder diffractogram (a wavelength of 1.5418 Å), based on the PBE geometry in the Materials Project.
Peak positions follow from Bragg's law for the DFT cell and can differ from measured ones.

Structure:
```
PdC
1.0
4.7237 0.0000 0.0000
0.0000 4.7237 0.0000
0.0000 0.0000 4.7237
Pd C
4 4
Direct
0.0000 0.0000 0.0000
0.0000 0.5000 0.5000
0.5000 0.0000 0.5000
0.5000 0.5000 0.0000
0.2500 0.2500 0.7500
0.2500 0.7500 0.2500
0.7500 0.2500 0.2500
0.7500 0.7500 0.7500
```

Top 6 peaks for 10° ≤ 2θ ≤ 90°, in order of rising 2θ:
2θ (°)  d (Å)  intensity  index
32.84  2.727  100  1 1 1
38.10  2.362  40  2 0 0
54.98  1.670  39  2 2 0
65.54  1.424  39  3 1 1
68.85  1.364  10  2 2 2
81.51  1.181  6  4 0 0


[5]
MgGe3: calculated powder diffractogram (a wavelength of 1.5418 Å), based on the PBE geometry in the Materials Project.
Peak positions follow from Bragg's law for the DFT cell and can differ from measured ones.

Structure:
```
MgGe3
1.0
5.9352 0.0000 0.0000
-2.9676 5.1400 0.0000
0.0000 0.0000 5.0835
Mg Ge
2 6
Direct
0.3333 0.6667 0.2500
0.6667 0.3333 0.7500
0.1607 0.3214 0.7500
0.1607 0.8393 0.7500
0.3214 0.1607 0.2500
0.6786 0.8393 0.7500
0.8393 0.1607 0.2500
0.8393 0.6786 0.2500
```

Top 12 peaks for 10° ≤ 2θ ≤ 90°, in order of rising 2θ:
2θ (°)  d (Å)  intensity  index
17.25  5.140  10  1 0 0
24.63  3.614  10  1 0 1
30.11  2.968  5  1 1 0
34.91  2.570  23  2 0 0
35.31  2.542  30  0 0 2
39.28  2.294  100  2 0 1
50.28  1.815  6  2 1 1
50.50  1.807  16  2 0 2
62.61  1.484  16  2 2 0
66.04  1.415  21  2 0 3
73.97  1.281  19  2 2 2
76.46  1.246  13  4 0 1


[6]
K2Si5BO12: calculated powder diffractogram (a wavelength of 1.5418 Å), based on the PBE geometry in the Materials Project.
Peak positions follow from Bragg's law for the DFT cell and can differ from measured ones.

Structure:
```
K2Si5BO12
1.0
13.3915 0.0000 0.0000
0.0000 4.7818 0.0000
0.0000 0.0000 9.1986
K Si B O
4 10 2 24
Direct
0.0000 0.0345 0.0000
0.0000 0.5526 0.3276
0.5000 0.4474 0.8276
0.5000 0.9655 0.5000
0.0000 0.5623 0.7384
0.2007 0.1422 0.4925
0.2101 0.3556 0.8245
0.2899 0.6444 0.3245
0.2993 0.8578 0.9925
0.5000 0.4377 0.2384
0.7007 0.8578 0.9925
0.7101 0.6444 0.3245
0.7899 0.3556 0.8245
0.7993 0.1422 0.4925
0.0000 0.0626 0.5683
0.5000 0.9374 0.0683
0.0000 0.3665 0.5969
0.0000 0.8951 0.7039
0.0906 0.9999 0.4813
0.0972 0.4865 0.8423
0.2085 0.4077 0.3765
0.2162 0.0907 0.9384
0.2308 0.2522 0.6570
0.2692 0.7478 0.1570
0.2838 0.9093 0.4384
0.2915 0.5923 0.8765
0.4028 0.5135 0.3423
0.4094 0.0001 0.9813
0.5000 0.1049 0.2039
0.5000 0.6335 0.0969
0.5906 0.0001 0.9813
0.5972 0.5135 0.3423
0.7085 0.5923 0.8765
0.7162 0.9093 0.4384
0.7308 0.7478 0.1570
0.7692 0.2522 0.6570
0.7838 0.0907 0.9384
0.7915 0.4077 0.3765
0.9028 0.4865 0.8423
0.9094 0.9999 0.4813
```

Top 12 peaks for 10° ≤ 2θ ≤ 90°, in order of rising 2θ:
2θ (°)  d (Å)  intensity  index
11.67  7.582  74  1 0 1
19.30  4.599  37  0 0 2
20.94  4.243  20  0 1 1
24.84  3.584  24  2 1 1
26.63  3.348  54  4 0 0
26.90  3.315  100  0 1 2
27.33  3.263  26  3 1 0
29.04  3.075  22  3 1 1
35.52  2.527  25  3 0 3
39.80  2.265  15  5 1 1
40.04  2.252  15  2 2 0
43.68  2.072  23  0 1 4